Structure and simulated powder diffraction line list of V4O5F7 (the GGA+U geometry in Alexandria; Cu Kα (weighted mean of Kα1 and Kα2)).

Atomic structure:
abc: 5.4167 5.2408 7.4728
angles: 90.00 92.49 90.00
Positions (direct):
V1 0.0305 0.0000 0.2447
V2 0.4608 0.4987 0.7595
V3 0.5392 0.4987 0.2405
V4 0.9695 0.0000 0.7553
O1 0.2047 0.6678 0.7171
O2 0.2161 0.2452 0.2118
O3 0.5000 0.5384 0.0000
O4 0.7839 0.2452 0.7882
O5 0.7953 0.6678 0.2829
F1 0.0000 0.0467 0.5000
F2 0.0000 0.8690 0.0000
F3 0.2919 0.1702 0.7916
F4 0.2968 0.7509 0.2981
F5 0.5000 0.3959 0.5000
F6 0.7032 0.7509 0.7019
F7 0.7081 0.1702 0.2084

Principal peaks in the range 10° ≤ 2θ ≤ 90°, by intensity:
2θ (°)  d_spacing  I_rel  hkl
23.63  3.765  100  1 1 0
23.84  3.733  49  0 0 2
48.35  1.882  19  2 2 0
39.85  2.262  13  1 2 -1
55.29  1.662  11  1 3 0
48.79  1.866  11  0 0 4
33.29  2.692  11  1 1 -2
53.88  1.702  10  2 2 -2
54.19  1.693  9  1 1 -4
53.74  1.706  8  3 1 0